Diffraction record for SrPmHo4Se8. The powder diffractogram is theoretical, not measured: it uses a DFT-relaxed cell (GGA-PBE, Alexandria) and Cu Kα, 1.54184 Å.

Top 8 peaks for 2θ = 10–90°, most intense first:
Position (°2θ)	intensity	index
24.49	100.0	0 2 1
29.58	89.9	0 2 4
42.51	74.2	2 2 0
42.15	73.3	2 0 8
38.79	52.8	0 3 3
24.31	31.2	0 1 5
38.61	23.3	0 2 7
12.73	23.3	1 0 1

Atomic structure:
```
data_SrPmHo4Se8
_chemical_formula_sum 'Sr3 Pm3 Ho12 Se24'
_symmetry_space_group_name_H-M 'R 3 m'
_symmetry_Int_Tables_number 160
_symmetry_space_group_name_Hall 'R 3 -2"'
_cell_length_a 8.5062
_cell_length_b 8.5062
_cell_length_c 21.0913
_cell_angle_alpha 90.00
_cell_angle_beta 90.00
_cell_angle_gamma 120.00
loop_
_atom_site_label
_atom_site_type_symbol
_atom_site_fract_x
_atom_site_fract_y
_atom_site_fract_z
Sr1 Sr 0.0000 0.0000 0.0000
Pm1 Pm 0.0000 0.0000 0.3713
Ho1 Ho 0.0000 0.0000 0.7477
Ho2 Ho 0.0046 0.5023 0.8739
Se1 Se 0.0000 0.0000 0.1376
Se2 Se 0.0000 0.0000 0.6155
Se3 Se 0.0149 0.5075 0.1280
Se4 Se 0.1824 0.3648 0.9491
```

***

Diffraction record for Pm2HoThSe5. The powder diffractogram is theoretical, not measured: it uses a DFT-relaxed cell (GGA-PBE, Alexandria) and Cu Kα, 1.54184 Å.

Top 8 peaks for 2θ = 10–90°, most intense first:
Position (°2θ)	intensity	index
24.66	100.0	1 1 0
35.16	80.9	2 0 0
34.95	49.3	1 1 3
37.26	44.8	1 0 4
52.16	34.4	2 1 4
23.83	31.3	1 0 2
50.57	28.8	2 2 0
16.18	23.4	0 0 2

Atomic structure:
```
data_Pm2HoThSe5
_chemical_formula_sum 'Pm2 Ho1 Th1 Se5'
_symmetry_space_group_name_H-M 'P 4/m m m'
_symmetry_Int_Tables_number 123
_symmetry_space_group_name_Hall '-P 4 2'
_cell_length_a 5.1049
_cell_length_b 5.1049
_cell_length_c 10.9530
_cell_angle_alpha 90.00
_cell_angle_beta 90.00
_cell_angle_gamma 90.00
loop_
_atom_site_label
_atom_site_type_symbol
_atom_site_fract_x
_atom_site_fract_y
_atom_site_fract_z
Pm1 Pm 0.0000 0.0000 0.1664
Ho1 Ho 0.5000 0.5000 0.0000
Th1 Th 0.5000 0.5000 0.5000
Se1 Se 0.0000 0.0000 0.5000
Se2 Se 0.0000 0.5000 0.0000
Se3 Se 0.5000 0.5000 0.2511
```

***

Diffraction record for PmHo4Si4. The powder diffractogram is theoretical, not measured: it uses a DFT-relaxed cell (GGA-PBE, Alexandria) and Cu Kα, 1.54184 Å.

Top 8 peaks for 2θ = 10–90°, most intense first:
Position (°2θ)	intensity	index
26.83	100.0	2 1 1
30.95	91.1	1 3 0
32.87	56.3	1 0 2
31.83	35.0	2 2 1
43.45	31.1	3 0 2
34.80	24.6	3 1 1
52.26	24.3	1 4 2
38.88	23.5	2 3 1

Atomic structure:
```
data_PmHo4Si4
_chemical_formula_sum 'Pm2 Ho8 Si8'
_symmetry_space_group_name_H-M 'P 42/n'
_symmetry_Int_Tables_number 86
_cell_length_a 9.1364
_cell_length_b 9.1364
_cell_length_c 5.7090
_cell_angle_alpha 90.00
_cell_angle_beta 90.00
_cell_angle_gamma 90.00
loop_
_symmetry_equiv_pos_as_xyz
'x,y,z'
'-x,-y,-z'
'-y,x+1/2,z+1/2'
'y,-x+1/2,-z+1/2'
'-x+1/2,-y+1/2,z'
'x+1/2,y+1/2,-z'
'y+1/2,-x,z+1/2'
'-y+1/2,x,-z+1/2'
loop_
_atom_site_label
_atom_site_type_symbol
_atom_site_fract_x
_atom_site_fract_y
_atom_site_fract_z
Pm1 Pm 0.2500 0.2500 0.2500
Ho1 Ho 0.0932 0.6465 0.1281
Si1 Si 0.0369 0.6008 0.6309
```

***

Diffraction record for PmHoSi4. The powder diffractogram is theoretical, not measured: it uses a DFT-relaxed cell (GGA-PBE, Alexandria) and Cu Kα, 1.54184 Å.

Top 8 peaks for 2θ = 10–90°, most intense first:
Position (°2θ)	intensity	index
35.92	100.0	2 3 1
31.30	89.1	2 1 1
32.85	62.5	0 4 1
22.29	59.5	2 1 0
28.27	46.9	2 3 0
21.70	40.7	0 0 1
34.64	39.9	1 4 1
24.36	33.7	0 4 0

Atomic structure:
```
data_PmHoSi4
_chemical_formula_sum 'Pm4 Ho4 Si16'
_symmetry_space_group_name_H-M 'P b a m'
_symmetry_Int_Tables_number 55
_cell_length_a 8.2904
_cell_length_b 14.6130
_cell_length_c 4.0963
_cell_angle_alpha 90.00
_cell_angle_beta 90.00
_cell_angle_gamma 90.00
loop_
_symmetry_equiv_pos_as_xyz
'x,y,z'
'-x,-y,-z'
'-x,-y,z'
'x,y,-z'
'x+1/2,-y+1/2,-z'
'-x+1/2,y+1/2,z'
'-x+1/2,y+1/2,-z'
'x+1/2,-y+1/2,z'
loop_
_atom_site_label
_atom_site_type_symbol
_atom_site_fract_x
_atom_site_fract_y
_atom_site_fract_z
Pm1 Pm 0.1131 0.1359 0.0000
Ho1 Ho 0.1405 0.4124 0.0000
Si1 Si 0.0291 0.2921 0.5000
Si2 Si 0.1222 0.5606 0.5000
Si3 Si 0.1272 0.9654 0.5000
Si4 Si 0.1876 0.8051 0.5000
```

***

Diffraction record for Pm4Sm15Ho. The powder diffractogram is theoretical, not measured: it uses a DFT-relaxed cell (GGA-PBE, Alexandria) and Cu Kα, 1.54184 Å.

Top 8 peaks for 2θ = 10–90°, most intense first:
Position (°2θ)	intensity	index
30.17	100.0	1 1 5
34.98	50.7	2 0 0
59.78	43.1	3 1 5
50.30	36.2	2 2 0
81.84	17.6	3 3 5
84.44	16.4	4 2 0
62.74	12.4	2 2 10
73.89	5.7	4 0 0

Atomic structure:
```
data_Pm4Sm15Ho
_chemical_formula_sum 'Pm4 Sm15 Ho1'
_symmetry_space_group_name_H-M 'P 4/m m m'
_symmetry_Int_Tables_number 123
_symmetry_space_group_name_Hall '-P 4 2'
_cell_length_a 5.1306
_cell_length_b 5.1306
_cell_length_c 25.6506
_cell_angle_alpha 90.00
_cell_angle_beta 90.00
_cell_angle_gamma 90.00
loop_
_atom_site_label
_atom_site_type_symbol
_atom_site_fract_x
_atom_site_fract_y
_atom_site_fract_z
Pm1 Pm 0.0000 0.0000 0.1003
Pm2 Pm 0.0000 0.0000 0.3009
Sm1 Sm 0.0000 0.5000 0.0000
Sm2 Sm 0.0000 0.5000 0.2007
Sm3 Sm 0.0000 0.5000 0.4012
Sm4 Sm 0.5000 0.5000 0.1003
Sm5 Sm 0.5000 0.5000 0.3012
Sm6 Sm 0.5000 0.5000 0.5000
Ho1 Ho 0.0000 0.0000 0.5000
```

***

Diffraction record for PmSm6Ho6. The powder diffractogram is theoretical, not measured: it uses a DFT-relaxed cell (GGA-PBE, Alexandria) and Cu Kα, 1.54184 Å.

Top 8 peaks for 2θ = 10–90°, most intense first:
Position (°2θ)	intensity	index
34.04	100.0	2 2 2
29.90	92.4	2 2 0
28.89	76.0	0 2 3
32.10	66.7	0 4 0
36.02	38.7	0 4 2
35.03	30.4	2 0 3
31.56	28.6	1 3 2
59.14	24.1	2 4 5

Atomic structure:
```
data_PmSm6Ho6
_chemical_formula_sum 'Pm2 Sm12 Ho12'
_symmetry_space_group_name_H-M 'C m m m'
_symmetry_Int_Tables_number 65
_symmetry_space_group_name_Hall '-C 2 2'
_cell_length_a 7.0809
_cell_length_b 11.1640
_cell_length_c 11.1355
_cell_angle_alpha 90.00
_cell_angle_beta 90.00
_cell_angle_gamma 90.00
loop_
_atom_site_label
_atom_site_type_symbol
_atom_site_fract_x
_atom_site_fract_y
_atom_site_fract_z
Pm1 Pm 0.0000 0.0000 0.0000
Sm1 Sm 0.0000 0.0000 0.3320
Sm2 Sm 0.0000 0.2645 0.5000
Sm3 Sm 0.0000 0.3577 0.0000
Ho1 Ho 0.0000 0.5000 0.3015
Ho2 Ho 0.2500 0.2500 0.2252
```

***

- Which formula does entry 1 have?
  SrPmHo4Se8

***

- Which formula does entry 1 have?
  SrPmHo4Se8